Structure and theoretical X-ray powder pattern of SmAgO2 (the PBE geometry in the Materials Project; Cu Kα, 1.54184 Å).
Kinematic intensities with the Lorentz-polarization factor, no thermal factor.

Cell and atoms:
```
SmAgO2
1.0
3.6586 0.0000 0.0000
-1.8293 3.1685 0.0000
0.0000 0.0000 12.5351
Sm Ag O
2 2 4
Cartesian
0.0000 0.0000 0.0000
0.0000 0.0000 6.2676
0.0000 2.1123 3.1338
1.8293 1.0562 9.4014
0.0000 2.1123 1.0557
0.0000 2.1123 5.2118
1.8293 1.0562 7.3233
1.8293 1.0562 11.4794
```

Top 10 peaks for 2θ = 5–70°, most intense first:
2θ (°)  I/Imax
31.6  100.0
29.1  41.1
28.5  33.5
49.8  30.0
52.5  29.5
58.4  26.7
60.3  15.9
40.5  13.6
46.2  10.6
28.2  9.8